# 1
The following is a theoretical PXRD pattern of BP2N2Cl7. It was derived from a PBE-relaxed structure, using λ = 1.5418 Å (Cu Kα).

Principal peaks in the range 2θ = 10–80°, most intense first:
Position (°2θ)  intensity  h k l
13.80  1000  1 1 -1
25.96  309  2 0 2
20.74  246  0 1 3
28.13  239  2 2 0
26.21  232  0 1 4
30.27  212  3 0 -4
22.53  195  1 0 -4
16.06  192  1 1 -2

```
BP2N2Cl7
1.0
9.980 0.000 0.000
0.000 8.652 0.000
-5.627 0.000 14.792
B P N Cl
4 8 8 28
direct
0.098 0.071 0.016
0.098 0.429 0.516
0.902 0.571 0.484
0.902 0.929 0.984
0.106 0.625 0.664
0.106 0.875 0.164
0.333 0.524 0.833
0.333 0.976 0.333
0.667 0.024 0.667
0.667 0.476 0.167
0.894 0.125 0.836
0.894 0.375 0.336
0.037 0.542 0.570
0.037 0.958 0.070
0.230 0.522 0.733
0.230 0.978 0.233
0.770 0.022 0.767
0.770 0.478 0.267
0.963 0.042 0.930
0.963 0.458 0.430
0.045 0.174 0.784
0.045 0.326 0.284
0.116 0.226 0.559
0.116 0.274 0.059
0.188 0.663 0.157
0.188 0.837 0.657
0.240 0.564 0.923
0.240 0.936 0.423
0.270 0.008 0.006
0.270 0.492 0.506
0.427 0.182 0.364
0.427 0.318 0.864
0.495 0.675 0.862
0.495 0.825 0.362
0.505 0.175 0.638
0.505 0.325 0.138
0.573 0.682 0.136
0.573 0.818 0.636
0.730 0.508 0.494
0.730 0.992 0.994
0.760 0.064 0.577
0.760 0.436 0.077
0.812 0.163 0.343
0.812 0.337 0.843
0.884 0.726 0.941
0.884 0.774 0.441
0.955 0.674 0.716
0.955 0.826 0.216
```

# 2
The following is a theoretical PXRD pattern of Sr2BN2Cl. It was derived from a PBE-relaxed structure, using λ = 1.5418 Å (Cu Kα).

Principal peaks in the range 2θ = 10–80°, most intense first:
Position (°2θ)  intensity  h k l
29.55  1000  1 1 2
43.08  510  0 2 0
20.41  410  1 0 2
30.09  352  4 0 1
25.51  336  2 1 0
31.69  252  3 1 1
36.78  189  1 1 3
40.99  188  4 0 3

```
Sr2BN2Cl
1.0
12.540 0.000 0.000
0.000 4.203 0.000
0.000 0.000 9.281
Sr B N Cl
8 4 8 4
direct
0.088 0.250 0.116
0.171 0.250 0.560
0.329 0.750 0.060
0.412 0.750 0.616
0.588 0.250 0.384
0.671 0.250 0.940
0.829 0.750 0.440
0.912 0.750 0.884
0.166 0.750 0.828
0.334 0.250 0.328
0.666 0.750 0.672
0.834 0.250 0.172
0.123 0.750 0.962
0.214 0.750 0.699
0.286 0.250 0.199
0.377 0.250 0.462
0.623 0.750 0.538
0.714 0.750 0.801
0.786 0.250 0.301
0.877 0.250 0.038
0.062 0.750 0.355
0.438 0.250 0.855
0.562 0.750 0.145
0.938 0.250 0.645
```

# 3
The following is a theoretical PXRD pattern of Na4B3Cl. It was derived from a PBE-relaxed structure, using λ = 1.5418 Å (Cu Kα).

Principal peaks in the range 2θ = 10–80°, most intense first:
Position (°2θ)  intensity  h k l
32.27  1000  2 0 0
46.52  635  2 0 4
32.59  485  0 0 4
46.29  323  2 2 0
57.75  307  2 2 4
17.91  288  1 0 1
27.95  141  1 1 2
76.85  118  4 2 0

```
Na4B3Cl
1.0
5.547 0.000 0.000
0.000 5.547 0.000
0.000 0.000 10.990
Na B Cl
8 6 2
direct
0.000 0.000 0.248
0.000 0.000 0.752
0.000 0.500 0.000
0.000 0.500 0.500
0.500 0.000 0.000
0.500 0.000 0.500
0.500 0.500 0.252
0.500 0.500 0.748
0.000 0.000 0.500
0.000 0.500 0.250
0.000 0.500 0.750
0.500 0.000 0.250
0.500 0.000 0.750
0.500 0.500 0.000
0.000 0.000 0.000
0.500 0.500 0.500
```